Entry 1:
This entry pairs a crystal structure of AcTb2NdHo with its theoretical PXRD pattern. Radiation: CuKα. Structure: a DFT-relaxed cell (PBE, Alexandria).
Neutral-atom scattering factors, no anomalous dispersion.

Cell and atoms:
```
data_AcTb2NdHo
_chemical_formula_sum 'Ac2 Tb4 Nd2 Ho2'
_cell_length_a 7.3350
_cell_length_b 7.3350
_cell_length_c 7.3406
_cell_angle_alpha 90.00
_cell_angle_beta 90.00
_cell_angle_gamma 108.94
_symmetry_space_group_name_H-M 'P 1'
_symmetry_Int_Tables_number 1
loop_
_symmetry_equiv_pos_as_xyz
'x,y,z'
loop_
_atom_site_label
_atom_site_type_symbol
_atom_site_fract_x
_atom_site_fract_y
_atom_site_fract_z
Ac1 Ac 0.2419 0.7581 0.7500
Ac2 Ac 0.7581 0.2419 0.2500
Tb1 Tb 0.1877 0.1877 0.0000
Tb2 Tb 0.1877 0.1877 0.5000
Tb3 Tb 0.8123 0.8123 0.0000
Tb4 Tb 0.8123 0.8123 0.5000
Nd1 Nd 0.4777 0.5223 0.2500
Nd2 Nd 0.5223 0.4777 0.7500
Ho1 Ho 0.2056 0.7944 0.2500
Ho2 Ho 0.7944 0.2056 0.7500
```

Most intense lines, 2θ from 5° to 70°, by angle:
two_theta	Rel. int.
20.8	24
25.7	61
27.5	38
28.5	69
29.9	56
32.2	100
32.4	30
34.9	47
38.9	36
44.5	59


Entry 2:
This entry pairs a crystal structure of Os2Cl8F with its theoretical PXRD pattern. Radiation: CuKα. Structure: a DFT-relaxed cell (PBE, Alexandria).
Neutral-atom scattering factors, no anomalous dispersion.

Cell and atoms:
```
data_Os2Cl8F
_chemical_formula_sum 'Os2 Cl8 F1'
_cell_length_a 9.3341
_cell_length_b 9.3341
_cell_length_c 9.3341
_cell_angle_alpha 150.46
_cell_angle_beta 108.83
_cell_angle_gamma 78.88
_symmetry_space_group_name_H-M 'P 1'
_symmetry_Int_Tables_number 1
loop_
_symmetry_equiv_pos_as_xyz
'x,y,z'
loop_
_atom_site_label
_atom_site_type_symbol
_atom_site_fract_x
_atom_site_fract_y
_atom_site_fract_z
Os1 Os 0.1470 0.1470 0.0000
Os2 Os 0.8530 0.8530 0.0000
Cl1 Cl 0.0706 0.8618 0.2088
Cl2 Cl 0.1190 0.6190 0.5000
Cl3 Cl 0.3015 0.3015 0.0000
Cl4 Cl 0.3470 0.1382 0.2088
Cl5 Cl 0.6530 0.8618 0.7912
Cl6 Cl 0.6985 0.6985 0.0000
Cl7 Cl 0.8810 0.3810 0.5000
Cl8 Cl 0.9294 0.1382 0.7912
F1 F 0.0000 0.0000 0.0000
```

Most intense lines, 2θ from 5° to 70°, by angle:
two_theta	Rel. int.
10.2	100
16.3	33
19.6	18
20.2	28
20.4	46
24.7	18
26.4	15
33.0	13
37.8	11
45.9	13


Entry 3:
This entry pairs a crystal structure of Mn5As4 with its theoretical PXRD pattern. Radiation: CuKα. Structure: a DFT-relaxed cell (PBE, Alexandria).
Neutral-atom scattering factors, no anomalous dispersion.

Cell and atoms:
```
data_Mn5As4
_chemical_formula_sum 'Mn10 As8'
_cell_length_a 6.7531
_cell_length_b 6.7531
_cell_length_c 11.8574
_cell_angle_alpha 90.00
_cell_angle_beta 90.00
_cell_angle_gamma 149.81
_symmetry_space_group_name_H-M 'P 1'
_symmetry_Int_Tables_number 1
loop_
_symmetry_equiv_pos_as_xyz
'x,y,z'
loop_
_atom_site_label
_atom_site_type_symbol
_atom_site_fract_x
_atom_site_fract_y
_atom_site_fract_z
Mn1 Mn 0.0208 0.9792 0.5000
Mn2 Mn 0.1702 0.8298 0.0806
Mn3 Mn 0.2176 0.7824 0.3881
Mn4 Mn 0.3679 0.6321 0.2259
Mn5 Mn 0.4437 0.5563 0.8340
Mn6 Mn 0.5563 0.4437 0.3340
Mn7 Mn 0.6321 0.3679 0.7259
Mn8 Mn 0.7824 0.2176 0.8881
Mn9 Mn 0.8298 0.1702 0.5806
Mn10 Mn 0.9792 0.0208 0.0000
As1 As 0.0071 0.9929 0.2042
As2 As 0.2726 0.7274 0.7341
As3 As 0.3476 0.6524 0.0153
As4 As 0.3960 0.6040 0.4417
As5 As 0.6040 0.3960 0.9417
As6 As 0.6524 0.3476 0.5153
As7 As 0.7274 0.2726 0.2341
As8 As 0.9929 0.0071 0.7042
```

Most intense lines, 2θ from 5° to 70°, by angle:
two_theta	Rel. int.
30.3	39
32.8	41
34.8	71
40.1	36
42.3	33
43.2	34
43.9	41
45.1	100
51.0	33
52.0	49


Entry 4:
This entry pairs a crystal structure of PaVCo with its theoretical PXRD pattern. Radiation: CuKα. Structure: a DFT-relaxed cell (PBE, Alexandria).
Neutral-atom scattering factors, no anomalous dispersion.

Cell and atoms:
```
data_PaVCo
_chemical_formula_sum 'Pa2 V2 Co2'
_cell_length_a 5.2013
_cell_length_b 5.2013
_cell_length_c 5.2013
_cell_angle_alpha 125.37
_cell_angle_beta 118.58
_cell_angle_gamma 86.72
_symmetry_space_group_name_H-M 'P 1'
_symmetry_Int_Tables_number 1
loop_
_symmetry_equiv_pos_as_xyz
'x,y,z'
loop_
_atom_site_label
_atom_site_type_symbol
_atom_site_fract_x
_atom_site_fract_y
_atom_site_fract_z
Pa1 Pa 0.3734 0.1234 0.2500
Pa2 Pa 0.6266 0.8766 0.7500
V1 V 0.0000 0.0000 0.5000
V2 V 0.0000 0.5000 0.0000
Co1 Co 0.0000 0.5000 0.5000
Co2 Co 0.5000 0.5000 0.0000
```

Most intense lines, 2θ from 5° to 70°, by angle:
two_theta	Rel. int.
20.4	40
22.0	28
33.7	24
34.7	100
37.7	22
39.6	31
40.5	30
40.7	63
43.2	46
60.9	20


Entry 5:
This entry pairs a crystal structure of Rb3ScBi2Te6 with its theoretical PXRD pattern. Radiation: CuKα. Structure: a DFT-relaxed cell (PBE, Alexandria).
Neutral-atom scattering factors, no anomalous dispersion.

Cell and atoms:
```
data_Rb3ScBi2Te6
_chemical_formula_sum 'Rb3 Sc1 Bi2 Te6'
_cell_length_a 7.8763
_cell_length_b 7.8763
_cell_length_c 8.9219
_cell_angle_alpha 98.47
_cell_angle_beta 98.47
_cell_angle_gamma 119.99
_symmetry_space_group_name_H-M 'P 1'
_symmetry_Int_Tables_number 1
loop_
_symmetry_equiv_pos_as_xyz
'x,y,z'
loop_
_atom_site_label
_atom_site_type_symbol
_atom_site_fract_x
_atom_site_fract_y
_atom_site_fract_z
Rb1 Rb 0.0000 0.0000 0.0000
Rb2 Rb 0.3270 0.6730 0.0000
Rb3 Rb 0.6730 0.3270 0.0000
Sc1 Sc 0.5000 0.5000 0.5000
Bi1 Bi 0.1659 0.8341 0.5000
Bi2 Bi 0.8341 0.1659 0.5000
Te1 Te 0.1189 0.4350 0.3043
Te2 Te 0.2503 0.2503 0.6978
Te3 Te 0.4350 0.1189 0.3043
Te4 Te 0.5650 0.8811 0.6957
Te5 Te 0.7497 0.7497 0.3022
Te6 Te 0.8811 0.5650 0.6957
```

Most intense lines, 2θ from 5° to 70°, by angle:
two_theta	Rel. int.
10.4	28
26.6	100
33.5	15
36.2	32
39.6	37
45.3	10
48.4	19
54.7	9
64.2	15
69.7	9


Entry 6:
This entry pairs a crystal structure of CsGaSi with its theoretical PXRD pattern. Radiation: CuKα. Structure: a DFT-relaxed cell (PBE, Alexandria).
Neutral-atom scattering factors, no anomalous dispersion.

Cell and atoms:
```
data_CsGaSi
_chemical_formula_sum 'Cs2 Ga2 Si2'
_cell_length_a 7.3056
_cell_length_b 7.3056
_cell_length_c 7.3056
_cell_angle_alpha 134.19
_cell_angle_beta 131.88
_cell_angle_gamma 68.62
_symmetry_space_group_name_H-M 'P 1'
_symmetry_Int_Tables_number 1
loop_
_symmetry_equiv_pos_as_xyz
'x,y,z'
loop_
_atom_site_label
_atom_site_type_symbol
_atom_site_fract_x
_atom_site_fract_y
_atom_site_fract_z
Cs1 Cs 0.1925 0.1925 0.0000
Cs2 Cs 0.8075 0.8075 0.0000
Ga1 Ga 0.2049 0.5000 0.7049
Ga2 Ga 0.7951 0.5000 0.2951
Si1 Si 0.5000 0.2011 0.7011
Si2 Si 0.5000 0.7989 0.2989
```

Most intense lines, 2θ from 5° to 70°, by angle:
two_theta	Rel. int.
21.6	50
26.2	100
26.7	45
27.2	91
31.5	31
33.6	28
34.8	43
46.7	42
51.3	56
52.0	26


Entry 7:
This entry pairs a crystal structure of Pm4SmTl4 with its theoretical PXRD pattern. Radiation: CuKα. Structure: a DFT-relaxed cell (PBE, Alexandria).
Neutral-atom scattering factors, no anomalous dispersion.

Cell and atoms:
```
data_Pm4SmTl4
_chemical_formula_sum 'Pm8 Sm2 Tl8'
_cell_length_a 9.3833
_cell_length_b 9.3833
_cell_length_c 6.2306
_cell_angle_alpha 90.00
_cell_angle_beta 90.00
_cell_angle_gamma 90.00
_symmetry_space_group_name_H-M 'P 1'
_symmetry_Int_Tables_number 1
loop_
_symmetry_equiv_pos_as_xyz
'x,y,z'
loop_
_atom_site_label
_atom_site_type_symbol
_atom_site_fract_x
_atom_site_fract_y
_atom_site_fract_z
Pm1 Pm 0.0827 0.8250 0.1237
Pm2 Pm 0.1750 0.5827 0.6237
Pm3 Pm 0.3250 0.9173 0.6237
Pm4 Pm 0.4173 0.6750 0.1237
Pm5 Pm 0.5827 0.3250 0.8763
Pm6 Pm 0.6750 0.0827 0.3763
Pm7 Pm 0.8250 0.4173 0.3763
Pm8 Pm 0.9173 0.1750 0.8763
Sm1 Sm 0.2500 0.2500 0.7500
Sm2 Sm 0.7500 0.7500 0.2500
Tl1 Tl 0.0423 0.1484 0.3646
Tl2 Tl 0.1484 0.4577 0.1354
Tl3 Tl 0.3516 0.0423 0.1354
Tl4 Tl 0.4577 0.3516 0.3646
Tl5 Tl 0.5423 0.6484 0.6354
Tl6 Tl 0.6484 0.9577 0.8646
Tl7 Tl 0.8516 0.5423 0.8646
Tl8 Tl 0.9577 0.8516 0.6354
```

Most intense lines, 2θ from 5° to 70°, by angle:
two_theta	Rel. int.
30.1	100
30.2	61
30.5	46
32.0	67
33.4	27
35.9	91
37.5	57
57.3	25
59.3	19
68.0	19


Entry 8:
This entry pairs a crystal structure of Tb2Nd3Ge4 with its theoretical PXRD pattern. Radiation: CuKα. Structure: a DFT-relaxed cell (PBE, Alexandria).
Neutral-atom scattering factors, no anomalous dispersion.

Cell and atoms:
```
data_Tb2Nd3Ge4
_chemical_formula_sum 'Tb4 Nd6 Ge8'
_cell_length_a 8.0749
_cell_length_b 7.9797
_cell_length_c 7.7786
_cell_angle_alpha 90.00
_cell_angle_beta 111.52
_cell_angle_gamma 90.00
_symmetry_space_group_name_H-M 'P 1'
_symmetry_Int_Tables_number 1
loop_
_symmetry_equiv_pos_as_xyz
'x,y,z'
loop_
_atom_site_label
_atom_site_type_symbol
_atom_site_fract_x
_atom_site_fract_y
_atom_site_fract_z
Tb1 Tb 0.2380 0.1653 0.2313
Tb2 Tb 0.2380 0.3347 0.7313
Tb3 Tb 0.7620 0.6653 0.2687
Tb4 Tb 0.7620 0.8347 0.7687
Nd1 Nd 0.1975 0.6817 0.0680
Nd2 Nd 0.1975 0.8183 0.5680
Nd3 Nd 0.5000 0.0000 0.0000
Nd4 Nd 0.5000 0.5000 0.5000
Nd5 Nd 0.8025 0.1817 0.4320
Nd6 Nd 0.8025 0.3183 0.9320
Ge1 Ge 0.0833 0.0395 0.8294
Ge2 Ge 0.0833 0.4605 0.3294
Ge3 Ge 0.4933 0.6261 0.8765
Ge4 Ge 0.4933 0.8739 0.3765
Ge5 Ge 0.5067 0.1261 0.6235
Ge6 Ge 0.5067 0.3739 0.1235
Ge7 Ge 0.9167 0.5395 0.6706
Ge8 Ge 0.9167 0.9605 0.1706
```

Most intense lines, 2θ from 5° to 70°, by angle:
two_theta	Rel. int.
29.5	37
30.1	35
31.7	100
32.3	52
32.7	61
33.1	90
35.3	32
35.9	37
36.0	44
36.5	87


Entry 9:
This entry pairs a crystal structure of KAgS5 with its theoretical PXRD pattern. Radiation: CuKα. Structure: a DFT-relaxed cell (PBE, Alexandria).
Neutral-atom scattering factors, no anomalous dispersion.

Cell and atoms:
```
data_KAgS5
_chemical_formula_sum 'K2 Ag2 S10'
_cell_length_a 6.0548
_cell_length_b 7.6301
_cell_length_c 10.7814
_cell_angle_alpha 97.47
_cell_angle_beta 93.94
_cell_angle_gamma 100.52
_symmetry_space_group_name_H-M 'P 1'
_symmetry_Int_Tables_number 1
loop_
_symmetry_equiv_pos_as_xyz
'x,y,z'
loop_
_atom_site_label
_atom_site_type_symbol
_atom_site_fract_x
_atom_site_fract_y
_atom_site_fract_z
K1 K 0.0357 0.1277 0.2359
K2 K 0.9643 0.8723 0.7641
Ag1 Ag 0.5000 0.0000 0.5000
Ag2 Ag 0.5000 0.5000 0.0000
S1 S 0.0467 0.2470 0.5785
S2 S 0.0486 0.7105 0.1123
S3 S 0.0590 0.4261 0.7424
S4 S 0.2367 0.2172 0.9704
S5 S 0.2392 0.7455 0.5354
S6 S 0.7608 0.2545 0.4646
S7 S 0.7633 0.7828 0.0296
S8 S 0.9410 0.5739 0.2576
S9 S 0.9514 0.2895 0.8877
S10 S 0.9533 0.7530 0.4215
```

Most intense lines, 2θ from 5° to 70°, by angle:
two_theta	Rel. int.
13.5	96
15.5	28
16.7	56
19.0	40
19.3	100
21.4	39
23.5	51
26.2	41
30.9	60
40.4	28